Entry 1:
Diffraction record for SmAg2AuO4. The powder X-ray diffraction pattern is computed, not measured: it uses a PBE-relaxed structure and a wavelength of 1.5418 Å.
Kinematic intensities with the Lorentz-polarization factor, no thermal factor.

Principal peaks in the range 10 to 80 degrees two-theta, sorted by position:
two_theta  I (rel.)
20.04  113
29.46  642
34.66  1000
42.15  336
55.67  540
61.13  103
65.21  139
69.30  129
72.22  106
73.14  125

Structure:
a b c (Å): 6.064 6.064 6.491
angles (deg): 90.00 90.00 90.00
Sites, in units of the cell vectors:
Sm 0.000 0.000 0.000
Sm 0.500 0.500 0.500
Ag 0.000 0.000 0.500
Ag 0.000 0.500 0.250
Ag 0.500 0.000 0.750
Ag 0.500 0.500 0.000
Au 0.000 0.500 0.750
Au 0.500 0.000 0.250
O 0.182 0.786 0.761
O 0.214 0.182 0.239
O 0.286 0.318 0.739
O 0.318 0.714 0.261
O 0.682 0.286 0.261
O 0.714 0.682 0.739
O 0.786 0.818 0.239
O 0.818 0.214 0.761

Entry 2:
Diffraction record for ThInPb. The powder X-ray diffraction pattern is computed, not measured: it uses a PBE-relaxed structure and a wavelength of 1.5418 Å.
Kinematic intensities with the Lorentz-polarization factor, no thermal factor.

Principal peaks in the range 10 to 80 degrees two-theta, sorted by position:
two_theta  I (rel.)
24.33  108
32.66  1000
32.89  512
46.51  83
47.20  190
58.13  173
58.57  384
68.43  107
78.41  84
78.54  87

Structure:
a b c (Å): 3.851 3.851 11.715
angles (deg): 90.00 90.00 90.00
Sites, in units of the cell vectors:
Th 0.000 0.000 0.000
Th 0.500 0.500 0.500
In 0.000 0.000 0.672
In 0.500 0.500 0.172
Pb 0.000 0.000 0.313
Pb 0.500 0.500 0.813

Entry 3:
Diffraction record for KZn2Au. The powder X-ray diffraction pattern is computed, not measured: it uses a PBE-relaxed structure and a wavelength of 1.5418 Å.
Kinematic intensities with the Lorentz-polarization factor, no thermal factor.

Principal peaks in the range 10 to 80 degrees two-theta, sorted by position:
two_theta  I (rel.)
13.80  1000
18.27  274
26.98  268
30.35  388
34.25  252
41.60  195
42.27  228
44.04  452
51.00  180
53.45  205

Structure:
a b c (Å): 4.511 7.431 6.415
angles (deg): 90.00 90.00 90.00
Sites, in units of the cell vectors:
K 0.250 0.250 0.081
K 0.750 0.750 0.919
Zn 0.250 0.070 0.574
Zn 0.250 0.430 0.574
Zn 0.750 0.570 0.426
Zn 0.750 0.930 0.426
Au 0.250 0.750 0.397
Au 0.750 0.250 0.603